# 1
Diffraction record for NaPH6O6. The PXRD pattern is theoretical, not measured: it uses a cell relaxed with GGA-PBE and copper Kα.
Lines closer than 0.1° are merged.

```
56
Lattice="6.7685 0.0000 0.0000 0.0000 7.3298 0.0000 0.0000 0.0000 11.2318" Properties=species:S:1:pos:R:3 pbc="T T T"
Na 1.4701 0.8201 4.7572
Na 1.9142 6.5098 10.3731
Na 4.8543 2.8448 6.4746
Na 5.2984 4.4850 0.8587
P 0.2799 5.7166 7.3153
P 3.1043 1.6133 1.6995
P 3.6642 5.2782 3.9164
P 6.4885 2.0516 9.5323
H 0.0986 0.6629 7.3649
H 0.1030 3.1591 4.1657
H 0.5937 3.4642 5.6213
H 0.8736 4.7003 2.8334
H 0.9950 3.4094 1.9637
H 1.5355 1.9703 10.8467
H 1.8487 5.3596 5.2308
H 2.3892 3.9204 7.5796
H 2.5107 2.6296 8.4493
H 2.7905 3.8656 0.0054
H 3.2813 4.1707 9.7816
H 3.2856 6.6669 1.7490
H 3.4872 0.5058 7.0661
H 3.4829 3.0020 3.8669
H 3.9780 0.2007 5.6105
H 4.2578 6.2945 8.3984
H 4.3793 0.2555 9.2680
H 4.9197 1.6947 0.3851
H 5.2330 5.6352 6.0010
H 5.7734 7.0743 3.6521
H 5.8949 1.0353 2.7825
H 6.1748 7.1292 11.2264
H 6.6698 4.3278 9.4828
H 6.6655 6.8240 1.4502
O 0.1411 2.7724 5.0773
O 0.3472 3.9462 2.4952
O 0.3940 5.5770 8.8201
O 0.4886 7.1993 6.8086
O 1.2169 1.6323 9.9156
O 1.2814 4.8557 6.5260
O 2.1028 2.4741 0.9101
O 2.1673 5.6975 4.2997
O 2.8957 0.1306 1.1927
O 2.9902 1.7528 3.2042
O 3.0370 3.3836 8.1111
O 3.2432 4.5574 10.6932
O 3.5253 0.8925 6.1545
O 3.7315 7.0485 8.7365
O 3.7782 5.4177 2.4117
O 3.8728 3.7955 4.4232
O 4.6011 2.0326 1.3162
O 4.6656 6.1390 4.7058
O 5.4871 1.1908 10.3217
O 5.5516 5.2972 6.9320
O 6.2799 3.5344 10.0390
O 6.3745 1.9121 8.0276
O 6.4212 0.2813 3.1207
O 6.6274 6.4373 0.5386
```

Principal peaks in the range 2θ = 5–70°, in order of falling intensity:
2theta  d [Å]  I_rel
23.90  3.723  1000
28.82  3.098  869
15.28  5.797  762
33.24  2.695  383
29.87  2.991  267
14.43  6.138  220
26.74  3.334  199
43.68  2.072  185
37.68  2.387  175
19.52  4.547  171
30.85  2.899  167
27.53  3.240  136

***

# 2
Diffraction record for ThInPb6. The PXRD pattern is theoretical, not measured: it uses a cell relaxed with GGA-PBE and copper Kα.
Lines closer than 0.1° are merged.

```
16
Lattice="9.7766 0.0000 0.0000 0.0000 9.7897 0.0000 0.0000 0.0000 5.0162" Properties=species:S:1:pos:R:3 pbc="T T T"
Th 0.0000 0.0000 0.0000
Th 4.8883 4.8949 0.0000
In 0.0000 4.8949 0.0000
In 4.8883 0.0000 0.0000
Pb 0.0000 2.4766 2.5081
Pb 0.0000 7.3131 2.5081
Pb 2.4074 4.8949 2.5081
Pb 2.4442 2.4474 0.0000
Pb 2.4442 7.3423 0.0000
Pb 2.4809 0.0000 2.5081
Pb 4.8883 2.4183 2.5081
Pb 4.8883 7.3714 2.5081
Pb 7.2957 0.0000 2.5081
Pb 7.3325 2.4474 0.0000
Pb 7.3325 7.3423 0.0000
Pb 7.3692 4.8949 2.5081
```

Principal peaks in the range 2θ = 5–70°, in order of falling intensity:
2theta  d [Å]  I_rel
31.42  2.848  1000
36.75  2.446  332
62.87  1.478  284
52.24  1.751  246
35.80  2.508  178
61.61  1.505  152
65.57  1.424  126
52.94  1.729  118
21.89  4.061  15
12.80  6.918  12
28.86  3.094  8
50.96  1.792  6

***

# 3
Diffraction record for TcIr2Rh. The PXRD pattern is theoretical, not measured: it uses a cell relaxed with GGA-PBE and copper Kα.
Lines closer than 0.1° are merged.

```
8
Lattice="3.8680 0.0000 0.0000 0.0000 3.8680 0.0000 0.0000 0.0000 7.7001" Properties=species:S:1:pos:R:3 pbc="T T T"
Tc 0.0000 0.0000 0.0000
Tc 1.9340 1.9340 3.8501
Ir 0.0000 1.9340 1.9250
Ir 0.0000 1.9340 5.7751
Ir 1.9340 0.0000 1.9250
Ir 1.9340 0.0000 5.7751
Rh 0.0000 0.0000 3.8501
Rh 1.9340 1.9340 0.0000
```

Principal peaks in the range 2θ = 5–70°, in order of falling intensity:
2theta  d [Å]  I_rel
40.46  2.230  1000
46.98  1.934  326
68.81  1.364  208
47.22  1.925  161
68.63  1.368  105
23.10  3.850  87
32.74  2.735  75
52.99  1.728  42
58.64  1.574  31

***

# 4
Diffraction record for TbPr5Sm12. The PXRD pattern is theoretical, not measured: it uses a cell relaxed with GGA-PBE and copper Kα.
Lines closer than 0.1° are merged.

```
18
Lattice="5.9771 -8.7913 0.0000 5.9771 8.7913 0.0000 -0.0026 0.0000 5.8864" Properties=species:S:1:pos:R:3 pbc="T T T"
Tb 0.0000 0.0000 0.0000
Pr 5.9758 6.3975 2.9432
Pr 5.9771 2.4282 0.0000
Pr 5.9758 0.0000 2.9432
Pr 5.9771 -2.4282 0.0000
Pr 5.9758 -6.3975 2.9432
Sm 4.1336 5.6406 5.8599
Sm 4.1423 3.1613 2.9702
Sm 2.3763 0.0000 2.7926
Sm 3.5532 0.0000 5.7331
Sm 7.8181 5.6406 0.0265
Sm 7.8093 3.1613 2.9162
Sm 4.1423 -3.1613 2.9702
Sm 4.1336 -5.6406 5.8599
Sm 8.3984 0.0000 0.1533
Sm 9.5753 0.0000 3.0938
Sm 7.8093 -3.1613 2.9162
Sm 7.8181 -5.6406 0.0265
```

Principal peaks in the range 2θ = 5–70°, in order of falling intensity:
2theta  d [Å]  I_rel
31.10  2.875  1000
30.52  2.929  372
30.37  2.943  325
54.42  1.686  198
43.58  2.077  166
55.74  1.649  120
54.59  1.681  91
62.48  1.486  83
31.62  2.829  82
61.08  1.517  81
51.62  1.771  68
45.53  1.992  68

***

# 5
Diffraction record for NaFe2BiAs. The PXRD pattern is theoretical, not measured: it uses a cell relaxed with GGA-PBE and copper Kα.
Lines closer than 0.1° are merged.

```
5
Lattice="4.5553 0.0000 0.0000 0.0000 4.5553 0.0000 0.0000 0.0000 5.8299" Properties=species:S:1:pos:R:3 pbc="T T T"
Na 0.0000 0.0000 0.0000
Fe 0.0000 2.2777 2.9149
Fe 2.2777 0.0000 2.9149
Bi 2.2777 2.2777 0.0000
As 2.2777 2.2777 2.9149
```

Principal peaks in the range 2θ = 5–70°, in order of falling intensity:
2theta  d [Å]  I_rel
19.49  4.555  1000
31.74  2.819  676
39.57  2.278  456
30.67  2.915  456
50.88  1.795  436
36.60  2.455  420
54.99  1.670  267
44.47  2.037  246
27.69  3.221  228
66.31  1.410  193
24.80  3.589  175
41.79  2.161  160